The following is a calculated X-ray powder pattern of Cs3Sn2Cl9. It was derived from a DFT-relaxed cell (PBE, Alexandria), using Cu Ka.

Structural model:
Cell lengths 7.6548, 7.6548, 9.4445 Å; angles 90.00, 90.00, 120.00 degrees
Space group P-3m1 (No. 164)
One atom of each set of equivalent atoms:
1 Cs 0.0000 0.0000 0.0000 [1 per cell]
2 Cs 0.3333 0.6667 0.3462 [2 per cell]
3 Sn 0.3333 0.6667 0.8267 [2 per cell]
4 Cl 0.0000 0.5000 0.0000 [3 per cell]
5 Cl 0.1756 0.3513 0.6793 [6 per cell]

Peak list (6 most intense, 2θ from 10° to 80°, by angle)
2θ/deg	I_rel	hkl
23.1	78	1 0 2
23.2	73	1 1 0
28.5	40	2 0 1
33.0	100	0 2 2
40.8	54	3 0 0
47.5	34	2 2 0